# 1
# U8FeSe17
Theoretical X-ray diffraction stick pattern, a wavelength of 1.5418 Å. Input: a crystal structure in Alexandria, relaxed with GGA-PBE.

Structure:
```
data_U8FeSe17
_chemical_formula_sum 'U8 Fe1 Se17'
_space_group_name_H-M_alt 'P 1'
_space_group_IT_number 1
_cell_length_a 8.2416
_cell_length_b 8.2416
_cell_length_c 10.8391
_cell_angle_alpha 99.53
_cell_angle_beta 99.53
_cell_angle_gamma 64.32
loop_
_space_group_symop_operation_xyz
'x,y,z'
loop_
_atom_site_label
_atom_site_type_symbol
_atom_site_fract_x
_atom_site_fract_y
_atom_site_fract_z
_atom_site_occupancy
U1 U 0.1811 0.7008 0.7952 1
U2 U 0.2031 0.2031 0.9570 1
U3 U 0.2992 0.8189 0.2048 1
U4 U 0.3186 0.3186 0.4850 1
U5 U 0.6814 0.6814 0.5150 1
U6 U 0.7008 0.1811 0.7952 1
U7 U 0.7969 0.7969 0.0430 1
U8 U 0.8189 0.2992 0.2048 1
Fe1 Fe 0.0000 0.0000 0.5000 1
Se1 Se 0.0000 0.0000 0.0000 1
Se2 Se 0.0562 0.6754 0.5261 1
Se3 Se 0.0597 0.0597 0.7258 1
Se4 Se 0.1785 0.5673 0.0348 1
Se5 Se 0.2134 0.2134 0.2225 1
Se6 Se 0.3018 0.3018 0.7456 1
Se7 Se 0.3246 0.9438 0.4739 1
Se8 Se 0.4327 0.8215 0.9652 1
Se9 Se 0.4786 0.4786 0.3306 1
Se10 Se 0.5214 0.5214 0.6694 1
Se11 Se 0.5673 0.1785 0.0348 1
Se12 Se 0.6754 0.0562 0.5261 1
Se13 Se 0.6982 0.6982 0.2544 1
Se14 Se 0.7866 0.7866 0.7775 1
Se15 Se 0.8215 0.4327 0.9652 1
Se16 Se 0.9403 0.9403 0.2742 1
Se17 Se 0.9438 0.3246 0.4739 1
```

Peak list (12 most intense, 10° ≤ 2θ ≤ 90°, by intensity)
d 2.657, intensity 100
d 3.693, intensity 75
d 2.327, intensity 70
d 2.458, intensity 57
d 2.057, intensity 56
d 3.609, intensity 55
d 2.193, intensity 50
d 2.700, intensity 42
d 2.524, intensity 42
d 4.662, intensity 39
d 3.848, intensity 39
d 6.355, intensity 36

=====

# 2
# Na2PuBr4
Theoretical X-ray diffraction stick pattern, a wavelength of 1.5418 Å. Input: a crystal structure in Alexandria, relaxed with GGA-PBE.

Structure:
```
data_Na2PuBr4
_chemical_formula_sum 'Na2 Pu1 Br4'
_space_group_name_H-M_alt 'P 1'
_space_group_IT_number 1
_cell_length_a 8.0757
_cell_length_b 8.0757
_cell_length_c 7.5147
_cell_angle_alpha 114.56
_cell_angle_beta 114.56
_cell_angle_gamma 30.82
loop_
_space_group_symop_operation_xyz
'x,y,z'
loop_
_atom_site_label
_atom_site_type_symbol
_atom_site_fract_x
_atom_site_fract_y
_atom_site_fract_z
_atom_site_occupancy
Na1 Na 0.2203 0.2203 0.1980 1
Na2 Na 0.7797 0.7797 0.8020 1
Pu1 Pu 0.5000 0.5000 0.5000 1
Br1 Br 0.1352 0.1352 0.4894 1
Br2 Br 0.3778 0.3778 0.0673 1
Br3 Br 0.6222 0.6222 0.9327 1
Br4 Br 0.8648 0.8648 0.5106 1
```

Peak list (12 most intense, 10° ≤ 2θ ≤ 90°, by intensity)
d 3.253, intensity 100
d 6.467, intensity 74
d 6.780, intensity 63
d 3.390, intensity 53
d 2.161, intensity 47
d 2.592, intensity 47
d 4.105, intensity 42
d 2.520, intensity 37
d 7.024, intensity 36
d 3.164, intensity 33
d 2.146, intensity 26
d 2.037, intensity 25

=====

# 3
# Tb3B9Os2
Theoretical X-ray diffraction stick pattern, a wavelength of 1.5418 Å. Input: a crystal structure in Alexandria, relaxed with GGA-PBE.

Structure:
```
data_Tb3B9Os2
_chemical_formula_sum 'Tb3 B9 Os2'
_space_group_name_H-M_alt 'P 1'
_space_group_IT_number 1
_cell_length_a 8.0077
_cell_length_b 8.0077
_cell_length_c 8.0077
_cell_angle_alpha 157.27
_cell_angle_beta 119.95
_cell_angle_gamma 65.07
loop_
_space_group_symop_operation_xyz
'x,y,z'
loop_
_atom_site_label
_atom_site_type_symbol
_atom_site_fract_x
_atom_site_fract_y
_atom_site_fract_z
_atom_site_occupancy
Tb1 Tb 0.0000 0.0000 0.0000 1
Tb2 Tb 0.2681 0.2681 0.0000 1
Tb3 Tb 0.7319 0.7319 0.0000 1
B1 B 0.0481 0.3647 0.6834 1
B2 B 0.1227 0.8692 0.2535 1
B3 B 0.3187 0.6353 0.6834 1
B4 B 0.3843 0.1308 0.2535 1
B5 B 0.5000 0.0000 0.5000 1
B6 B 0.6157 0.8692 0.7465 1
B7 B 0.6813 0.3647 0.3166 1
B8 B 0.8773 0.1308 0.7465 1
B9 B 0.9519 0.6353 0.3166 1
Os1 Os 0.3267 0.5000 0.8267 1
Os2 Os 0.6733 0.5000 0.1733 1
```

Peak list (12 most intense, 10° ≤ 2θ ≤ 90°, by intensity)
d 3.376, intensity 100
d 2.936, intensity 96
d 2.215, intensity 87
d 2.297, intensity 53
d 2.172, intensity 51
d 3.446, intensity 45
d 6.751, intensity 45
d 1.952, intensity 44
d 2.621, intensity 39
d 2.439, intensity 33
d 1.429, intensity 30
d 1.522, intensity 25

=====

# 4
# BaNa2VSe4
Theoretical X-ray diffraction stick pattern, a wavelength of 1.5418 Å. Input: a crystal structure in Alexandria, relaxed with GGA-PBE.

Structure:
```
data_BaNa2VSe4
_chemical_formula_sum 'Ba1 Na2 V1 Se4'
_space_group_name_H-M_alt 'P 1'
_space_group_IT_number 1
_cell_length_a 6.7370
_cell_length_b 6.7370
_cell_length_c 6.7370
_cell_angle_alpha 111.78
_cell_angle_beta 111.78
_cell_angle_gamma 104.95
loop_
_space_group_symop_operation_xyz
'x,y,z'
loop_
_atom_site_label
_atom_site_type_symbol
_atom_site_fract_x
_atom_site_fract_y
_atom_site_fract_z
_atom_site_occupancy
Ba1 Ba 0.0000 0.0000 0.0000 1
Na1 Na 0.2500 0.7500 0.5000 1
Na2 Na 0.7500 0.2500 0.5000 1
V1 V 0.5000 0.5000 0.0000 1
Se1 Se 0.1570 0.1570 0.6321 1
Se2 Se 0.4751 0.8430 0.0000 1
Se3 Se 0.5249 0.5249 0.3679 1
Se4 Se 0.8430 0.4751 0.0000 1
```

Peak list (12 most intense, 10° ≤ 2θ ≤ 90°, by intensity)
d 3.255, intensity 100
d 3.125, intensity 85
d 5.343, intensity 56
d 2.065, intensity 45
d 2.671, intensity 40
d 2.779, intensity 31
d 2.408, intensity 25
d 1.803, intensity 24
d 1.789, intensity 23
d 2.572, intensity 22
d 1.664, intensity 22
d 1.781, intensity 15

=====

# 5
# CuBi4S5
Theoretical X-ray diffraction stick pattern, a wavelength of 1.5418 Å. Input: a crystal structure in Alexandria, relaxed with GGA-PBE.

Structure:
```
data_CuBi4S5
_chemical_formula_sum 'Cu1 Bi4 S5'
_space_group_name_H-M_alt 'P 1'
_space_group_IT_number 1
_cell_length_a 7.0762
_cell_length_b 7.0762
_cell_length_c 7.0762
_cell_angle_alpha 98.98
_cell_angle_beta 98.98
_cell_angle_gamma 133.44
loop_
_space_group_symop_operation_xyz
'x,y,z'
loop_
_atom_site_label
_atom_site_type_symbol
_atom_site_fract_x
_atom_site_fract_y
_atom_site_fract_z
_atom_site_occupancy
Cu1 Cu 0.0000 0.0000 0.0000 1
Bi1 Bi 0.2272 0.4446 0.6091 1
Bi2 Bi 0.4446 0.8355 0.2174 1
Bi3 Bi 0.6181 0.2272 0.7826 1
Bi4 Bi 0.8355 0.6181 0.3909 1
S1 S 0.1631 0.8067 0.8812 1
S2 S 0.2819 0.1631 0.3564 1
S3 S 0.5531 0.5531 0.0000 1
S4 S 0.8067 0.9255 0.6436 1
S5 S 0.9255 0.2819 0.1188 1
```

Peak list (12 most intense, 10° ≤ 2θ ≤ 90°, by intensity)
d 3.312, intensity 100
d 2.907, intensity 66
d 2.015, intensity 46
d 1.747, intensity 42
d 2.796, intensity 32
d 1.656, intensity 23
d 2.056, intensity 22
d 1.309, intensity 17
d 1.698, intensity 16
d 2.687, intensity 13
d 1.179, intensity 12
d 1.117, intensity 11

=====

# 6
# BaFeOs
Theoretical X-ray diffraction stick pattern, a wavelength of 1.5418 Å. Input: a crystal structure in Alexandria, relaxed with GGA-PBE.

Structure:
```
data_BaFeOs
_chemical_formula_sum 'Ba2 Fe2 Os2'
_space_group_name_H-M_alt 'P 1'
_space_group_IT_number 1
_cell_length_a 4.2252
_cell_length_b 4.2234
_cell_length_c 9.3445
_cell_angle_alpha 90.00
_cell_angle_beta 91.80
_cell_angle_gamma 90.00
loop_
_space_group_symop_operation_xyz
'x,y,z'
loop_
_atom_site_label
_atom_site_type_symbol
_atom_site_fract_x
_atom_site_fract_y
_atom_site_fract_z
_atom_site_occupancy
Ba1 Ba 0.2377 0.2500 0.2978 1
Ba2 Ba 0.7623 0.7500 0.7022 1
Fe1 Fe 0.3080 0.2500 0.8807 1
Fe2 Fe 0.6920 0.7500 0.1193 1
Os1 Os 0.2061 0.7500 0.9996 1
Os2 Os 0.7939 0.2500 0.0004 1
```

Peak list (12 most intense, 10° ≤ 2θ ≤ 90°, by intensity)
d 2.542, intensity 100
d 2.112, intensity 81
d 2.491, intensity 75
d 2.863, intensity 62
d 3.113, intensity 60
d 1.568, intensity 41
d 3.132, intensity 35
d 2.826, intensity 34
d 1.600, intensity 32
d 3.085, intensity 27
d 3.848, intensity 24
d 3.894, intensity 24